# AuC8
Computed XRD peak list, Cu Ka. Input: a crystal structure in OQMD, relaxed with PBE.
No peak broadening, texture or thermal motion is included.

Lattice parameters (Å, degrees): 11.373 10.825 4.936 83.45 71.00 25.54
Sites, in units of the cell vectors:
Au (0.125, 0.125, 0.125)
Au (0.875, 0.875, 0.875)
C (0.082, 0.416, 0.335)
C (0.084, 0.416, 0.833)
C (0.167, 0.833, 0.416)
C (0.167, 0.833, 0.916)
C (0.333, 0.665, 0.584)
C (0.335, 0.667, 0.082)
C (0.416, 0.082, 0.667)
C (0.416, 0.084, 0.167)
C (0.584, 0.916, 0.833)
C (0.584, 0.918, 0.333)
C (0.665, 0.333, 0.918)
C (0.667, 0.335, 0.416)
C (0.833, 0.167, 0.084)
C (0.833, 0.167, 0.584)
C (0.916, 0.584, 0.167)
C (0.918, 0.584, 0.665)

Peak list (10 most intense, 5 to 70 degrees two-theta, by intensity)
2θ (°)	I (rel.)
21.2	100
22.4	88
24.4	73
45.8	59
29.8	44
33.0	34
34.0	32
36.5	26
36.7	26
37.4	24


# Pt8F
Computed XRD peak list, Cu Ka. Input: a crystal structure in OQMD, relaxed with PBE.
No peak broadening, texture or thermal motion is included.

Lattice parameters (Å, degrees): 8.786 8.786 2.623 90.00 90.00 120.00
Sites, in units of the cell vectors:
Pt (0.168, 0.337, 0.000)
Pt (0.168, 0.832, 0.000)
Pt (0.333, 0.667, 0.000)
Pt (0.337, 0.168, 0.000)
Pt (0.663, 0.832, 0.000)
Pt (0.667, 0.333, 0.000)
Pt (0.832, 0.168, 0.000)
Pt (0.832, 0.663, 0.000)
F (0.000, 0.000, 0.500)

Peak list (8 most intense, 5 to 70 degrees two-theta, by intensity)
2θ (°)	I (rel.)
41.1	100
23.4	99
54.5	85
34.2	52
41.8	49
60.1	17
47.8	15
64.8	12


# PrNiSn2Ge
Computed XRD peak list, Cu Ka. Input: a crystal structure in OQMD, relaxed with PBE.
No peak broadening, texture or thermal motion is included.

Lattice parameters (Å, degrees): 11.974 11.974 4.265 90.00 90.00 158.19
Sites, in units of the cell vectors:
Pr (0.166, 0.834, 0.000)
Pr (0.834, 0.166, 0.000)
Ni (0.394, 0.606, 0.500)
Ni (0.606, 0.394, 0.500)
Sn (0.059, 0.941, 0.500)
Sn (0.287, 0.713, 0.500)
Sn (0.713, 0.287, 0.500)
Sn (0.941, 0.059, 0.500)
Ge (0.443, 0.557, 0.000)
Ge (0.557, 0.443, 0.000)

Peak list (10 most intense, 5 to 70 degrees two-theta, by intensity)
2θ (°)	I (rel.)
31.0	100
39.8	47
59.6	29
66.8	21
42.4	21
51.3	16
34.6	14
45.4	13
30.4	12
33.2	7


# Ho3Mg2Sb3O14
Computed XRD peak list, Cu Ka. Input: a crystal structure in OQMD, relaxed with PBE.
No peak broadening, texture or thermal motion is included.

Lattice parameters (Å, degrees): 7.110 7.110 7.110 61.75 61.75 61.75
Sites, in units of the cell vectors:
Ho (0.000, 0.500, 0.500)
Ho (0.500, 0.000, 0.500)
Ho (0.500, 0.500, 0.000)
Mg (0.000, 0.000, 0.000)
Mg (0.500, 0.500, 0.500)
Sb (0.000, 0.000, 0.500)
Sb (0.000, 0.500, 0.000)
Sb (0.500, 0.000, 0.000)
O (0.086, 0.672, 0.672)
O (0.092, 0.092, 0.653)
O (0.092, 0.653, 0.092)
O (0.328, 0.328, 0.914)
O (0.328, 0.914, 0.328)
O (0.347, 0.908, 0.908)
O (0.383, 0.383, 0.383)
O (0.617, 0.617, 0.617)
O (0.653, 0.092, 0.092)
O (0.672, 0.086, 0.672)
O (0.672, 0.672, 0.086)
O (0.908, 0.347, 0.908)
O (0.908, 0.908, 0.347)
O (0.914, 0.328, 0.328)

Peak list (10 most intense, 5 to 70 degrees two-theta, by intensity)
2θ (°)	I (rel.)
30.1	100
35.3	40
50.0	34
31.2	31
51.4	30
60.1	28
17.4	25
59.5	15
24.4	13
61.4	13


# PrTeAuO
Computed XRD peak list, Cu Ka. Input: a crystal structure in OQMD, relaxed with PBE.
No peak broadening, texture or thermal motion is included.

Lattice parameters (Å, degrees): 20.727 4.184 4.184 89.75 90.00 90.00
Sites, in units of the cell vectors:
Pr (0.056, 0.250, 0.750)
Pr (0.444, 0.750, 0.250)
Pr (0.556, 0.250, 0.750)
Pr (0.944, 0.750, 0.250)
Te (0.142, 0.749, 0.252)
Te (0.358, 0.249, 0.752)
Te (0.642, 0.752, 0.249)
Te (0.858, 0.252, 0.749)
Au (0.250, 0.001, 0.006)
Au (0.250, 0.501, 0.506)
Au (0.750, 0.006, 0.001)
Au (0.750, 0.506, 0.501)
O (0.000, 0.250, 0.250)
O (0.000, 0.750, 0.750)
O (0.500, 0.250, 0.250)
O (0.500, 0.750, 0.750)

Peak list (10 most intense, 5 to 70 degrees two-theta, by intensity)
2θ (°)	I (rel.)
30.1	100
27.4	95
8.5	73
33.6	73
35.0	63
44.2	62
31.5	61
46.8	45
54.0	41
43.7	33


# Gd2C2BrCl
Computed XRD peak list, Cu Ka. Input: a crystal structure in OQMD, relaxed with PBE.
No peak broadening, texture or thermal motion is included.

Lattice parameters (Å, degrees): 4.001 4.001 10.223 94.95 94.95 56.74
Sites, in units of the cell vectors:
Gd (0.000, 0.000, 0.000)
Gd (0.706, 0.706, 0.708)
C (0.280, 0.280, 0.891)
C (0.426, 0.426, 0.817)
Br (0.684, 0.684, 0.187)
Cl (0.029, 0.029, 0.541)

Peak list (10 most intense, 5 to 70 degrees two-theta, by intensity)
2θ (°)	I (rel.)
8.7	100
32.7	66
29.5	44
26.7	31
43.7	26
45.6	24
27.7	23
31.3	22
57.2	18
32.4	16


# NbICl2O
Computed XRD peak list, Cu Ka. Input: a crystal structure in OQMD, relaxed with PBE.
No peak broadening, texture or thermal motion is included.

Lattice parameters (Å, degrees): 7.423 7.423 11.710 120.01 120.01 30.91
Sites, in units of the cell vectors:
Nb (0.118, 0.118, 0.192)
Nb (0.882, 0.882, 0.808)
I (0.283, 0.382, 0.290)
I (0.618, 0.717, 0.710)
Cl (0.035, 0.145, 0.957)
Cl (0.057, 0.156, 0.381)
Cl (0.844, 0.943, 0.619)
Cl (0.855, 0.965, 0.043)
O (0.347, 0.428, 0.819)
O (0.572, 0.653, 0.181)

Peak list (10 most intense, 5 to 70 degrees two-theta, by intensity)
2θ (°)	I (rel.)
23.9	100
17.7	59
16.0	56
30.8	45
29.2	36
26.6	26
32.9	24
45.0	24
43.5	17
45.9	17


# LuReB4
Computed XRD peak list, Cu Ka. Input: a crystal structure in OQMD, relaxed with PBE.
No peak broadening, texture or thermal motion is included.

Lattice parameters (Å, degrees): 3.118 3.118 6.885 90.00 90.00 120.00
Sites, in units of the cell vectors:
Lu (0.000, 0.000, 0.000)
Re (0.000, 0.000, 0.500)
B (0.333, 0.667, 0.267)
B (0.333, 0.667, 0.733)
B (0.667, 0.333, 0.267)
B (0.667, 0.333, 0.733)

Peak list (8 most intense, 5 to 70 degrees two-theta, by intensity)
2θ (°)	I (rel.)
42.6	100
33.2	83
25.9	46
64.2	26
65.8	22
59.3	20
69.7	10
53.2	9